# CaIn2Mo
Theoretical powder diffractogram, Cu Kα (λ = 1.5418 Å). Input: a cell relaxed with GGA-PBE.
Kinematic intensities with the Lorentz-polarization factor, no thermal factor.

Principal peaks in the range 15 to 90 degrees two-theta, low angle first:
2theta	I/Imax	index
17.4	6	1 1 0
19.6	6	0 2 0
35.2	100	2 2 0
39.9	18	0 4 0
41.4	31	2 0 1
58.8	21	2 4 1
60.0	10	4 0 0
69.4	13	2 6 0
71.5	24	4 2 1
74.5	10	4 4 0

Structure:
```
data_CaIn2Mo
_chemical_formula_sum 'Ca2 In4 Mo2'
_space_group_name_H-M_alt 'C m m m'
_space_group_IT_number 65
_space_group_name_Hall '-C 2 2'
_cell_length_a 6.171
_cell_length_b 9.041
_cell_length_c 3.081
_cell_angle_alpha 90.00
_cell_angle_beta 90.00
_cell_angle_gamma 90.00
loop_
_atom_site_label
_atom_site_fract_x
_atom_site_fract_y
_atom_site_fract_z
_atom_site_occupancy
Ca1 0.000 0.000 0.000 1
In1 0.250 0.250 0.500 1
Mo1 0.000 0.500 0.000 1
```


# Ca2InN2
Theoretical powder diffractogram, Cu Kα (λ = 1.5418 Å). Input: a cell relaxed with GGA-PBE.
Kinematic intensities with the Lorentz-polarization factor, no thermal factor.

Principal peaks in the range 15 to 90 degrees two-theta, low angle first:
2theta	I/Imax	index
19.8	27	1 1 0
22.2	71	1 1 -1
31.6	86	1 1 -2
31.7	100	3 1 0
34.8	50	4 0 -2
36.1	56	0 2 0
39.1	56	2 0 2
51.0	50	4 2 -2
54.3	30	2 2 2
66.3	24	6 2 0

Structure:
```
data_Ca2InN2
_chemical_formula_sum 'Ca8 In4 N8'
_space_group_name_H-M_alt 'C 1 2/m 1'
_space_group_IT_number 12
_space_group_name_Hall '-C 2y'
_cell_length_a 11.267
_cell_length_b 4.980
_cell_length_c 6.943
_cell_angle_alpha 90.00
_cell_angle_beta 114.31
_cell_angle_gamma 90.00
loop_
_atom_site_label
_atom_site_fract_x
_atom_site_fract_y
_atom_site_fract_z
_atom_site_occupancy
Ca1 0.017 0.000 0.242 1
Ca2 0.166 0.500 0.075 1
In1 0.155 0.500 0.605 1
N1 0.008 0.500 0.275 1
N2 0.173 0.000 0.096 1
```


# Ca8InN4
Theoretical powder diffractogram, Cu Kα (λ = 1.5418 Å). Input: a cell relaxed with GGA-PBE.
Kinematic intensities with the Lorentz-polarization factor, no thermal factor.

Principal peaks in the range 15 to 90 degrees two-theta, low angle first:
2theta	I/Imax	index
22.7	25	1 3 0
29.1	13	2 1 1
30.6	35	3 3 0
32.3	21	2 4 0
32.5	100	3 0 1
37.0	14	5 1 0
38.6	11	4 1 1
43.8	16	6 0 0
53.5	21	5 4 1
55.7	17	6 3 1

Structure:
```
data_Ca8InN4
_chemical_formula_sum 'Ca16 In2 N8'
_space_group_name_H-M_alt 'I 4/m'
_space_group_IT_number 87
_space_group_name_Hall '-I 4'
_cell_length_a 12.389
_cell_length_b 12.389
_cell_length_c 3.691
_cell_angle_alpha 90.00
_cell_angle_beta 90.00
_cell_angle_gamma 90.00
loop_
_atom_site_label
_atom_site_fract_x
_atom_site_fract_y
_atom_site_fract_z
_atom_site_occupancy
Ca1 0.042 0.670 0.000 1
Ca2 0.151 0.194 0.500 1
In1 0.000 0.000 0.000 1
N1 0.155 0.336 0.000 1
```


# Ca9In3N2
Theoretical powder diffractogram, Cu Kα (λ = 1.5418 Å). Input: a cell relaxed with GGA-PBE.
Kinematic intensities with the Lorentz-polarization factor, no thermal factor.

Principal peaks in the range 15 to 90 degrees two-theta, low angle first:
2theta	I/Imax	index
17.7	22	0 1 1
25.1	34	1 0 2
30.8	100	2 0 1
35.7	57	0 2 2
40.1	12	1 2 1
44.1	11	2 1 2
51.4	18	2 0 4
51.5	19	2 2 0
61.1	9	0 2 5
61.2	28	0 4 1

Structure:
```
data_Ca9In3N2
_chemical_formula_sum 'Ca9 In3 N2'
_space_group_name_H-M_alt 'P -3 m 1'
_space_group_IT_number 164
_space_group_name_Hall '-P 3 2"'
_cell_length_a 7.0968
_cell_length_b 7.0968
_cell_length_c 8.7188
_cell_angle_alpha 90.00
_cell_angle_beta 90.00
_cell_angle_gamma 120.00
loop_
_atom_site_label
_atom_site_fract_x
_atom_site_fract_y
_atom_site_fract_z
_atom_site_occupancy
Ca1 0.0000 0.5000 0.0000 1
Ca2 0.1755 0.3511 0.6812 1
In1 0.0000 0.0000 0.0000 1
In2 0.3333 0.6667 0.3411 1
N1 0.3333 0.6667 0.8329 1
```


# Ca19In8N7
Theoretical powder diffractogram, Cu Kα (λ = 1.5418 Å). Input: a cell relaxed with GGA-PBE.
Kinematic intensities with the Lorentz-polarization factor, no thermal factor.

Principal peaks in the range 15 to 90 degrees two-theta, low angle first:
2theta	I/Imax	index
17.0	16	2 2 0
26.3	17	3 3 1
31.5	100	3 3 3
36.5	61	6 0 0
40.0	14	5 3 3
52.6	39	6 6 0
62.6	34	9 3 3
65.7	11	6 6 6
86.1	13	9 9 3
88.9	13	12 6 0

Structure:
```
data_Ca19In8N7
_chemical_formula_sum 'Ca76 In32 N28'
_space_group_name_H-M_alt 'F m -3 m'
_space_group_IT_number 225
_space_group_name_Hall '-F 4 2 3'
_cell_length_a 14.772
_cell_length_b 14.772
_cell_length_c 14.772
_cell_angle_alpha 90.00
_cell_angle_beta 90.00
_cell_angle_gamma 90.00
loop_
_atom_site_label
_atom_site_fract_x
_atom_site_fract_y
_atom_site_fract_z
_atom_site_occupancy
Ca1 0.000 0.000 0.000 1
Ca2 0.000 0.000 0.334 1
Ca3 0.000 0.163 0.163 1
In1 0.175 0.175 0.325 1
N1 0.000 0.000 0.174 1
N2 0.000 0.000 0.500 1
```


# Ca12InPb4N3
Theoretical powder diffractogram, Cu Kα (λ = 1.5418 Å). Input: a cell relaxed with GGA-PBE.
Kinematic intensities with the Lorentz-polarization factor, no thermal factor.

Principal peaks in the range 15 to 90 degrees two-theta, low angle first:
2theta	I/Imax	index
17.2	35	2 0 0
24.4	100	2 2 0
30.0	79	2 2 2
34.8	64	4 0 0
39.1	24	4 2 0
43.0	43	4 2 2
50.1	43	4 4 0
56.5	24	6 2 0
59.5	31	6 2 2
68.1	26	6 4 2

Structure:
```
data_Ca12InPb4N3
_chemical_formula_sum 'Ca24 In2 Pb8 N6'
_space_group_name_H-M_alt 'I m -3 m'
_space_group_IT_number 229
_space_group_name_Hall '-I 4 2 3'
_cell_length_a 10.307
_cell_length_b 10.307
_cell_length_c 10.307
_cell_angle_alpha 90.00
_cell_angle_beta 90.00
_cell_angle_gamma 90.00
loop_
_atom_site_label
_atom_site_fract_x
_atom_site_fract_y
_atom_site_fract_z
_atom_site_occupancy
Ca1 0.000 0.000 0.284 1
Ca2 0.000 0.250 0.500 1
In1 0.000 0.000 0.000 1
Pb1 0.250 0.250 0.250 1
N1 0.000 0.000 0.500 1
```


# Ca2PuInN4
Theoretical powder diffractogram, Cu Kα (λ = 1.5418 Å). Input: a cell relaxed with GGA-PBE.
Kinematic intensities with the Lorentz-polarization factor, no thermal factor.

Principal peaks in the range 15 to 90 degrees two-theta, low angle first:
2theta	I/Imax	index
15.5	100	0 0 1
16.2	18	1 0 0
30.0	42	1 1 0
31.4	38	0 0 2
31.8	73	1 1 -1
32.7	34	2 0 0
36.0	86	1 1 1
39.0	34	2 0 -2
53.2	26	1 1 -3
55.0	24	3 1 -1

Structure:
```
data_Ca2PuInN4
_chemical_formula_sum 'Ca2 Pu1 In1 N4'
_space_group_name_H-M_alt 'P 1 2/m 1'
_space_group_IT_number 10
_space_group_name_Hall '-P 2y'
_cell_length_a 5.681
_cell_length_b 3.548
_cell_length_c 5.927
_cell_angle_alpha 90.00
_cell_angle_beta 105.67
_cell_angle_gamma 90.00
loop_
_atom_site_label
_atom_site_fract_x
_atom_site_fract_y
_atom_site_fract_z
_atom_site_occupancy
Ca1 0.000 0.000 0.000 1
Ca2 0.500 0.500 0.000 1
Pu1 0.000 0.500 0.500 1
In1 0.500 0.000 0.500 1
N1 0.223 0.500 0.272 1
N2 0.245 0.000 0.728 1
```


# Ca2InTcN4
Theoretical powder diffractogram, Cu Kα (λ = 1.5418 Å). Input: a cell relaxed with GGA-PBE.
Kinematic intensities with the Lorentz-polarization factor, no thermal factor.

Principal peaks in the range 15 to 90 degrees two-theta, low angle first:
2theta	I/Imax	index
21.4	20	2 0 0
22.0	31	0 1 1
25.8	22	2 1 0
29.0	28	0 2 0
30.9	100	2 1 1
33.6	48	0 0 2
43.5	16	4 0 0
49.6	18	2 3 0
56.0	21	4 0 2
58.3	18	2 1 3

Structure:
```
data_Ca2InTcN4
_chemical_formula_sum 'Ca4 In2 Tc2 N8'
_space_group_name_H-M_alt 'P m n 21'
_space_group_IT_number 31
_space_group_name_Hall 'P 2ac -2'
_cell_length_a 8.322
_cell_length_b 6.152
_cell_length_c 5.345
_cell_angle_alpha 90.00
_cell_angle_beta 90.00
_cell_angle_gamma 90.00
loop_
_atom_site_label
_atom_site_fract_x
_atom_site_fract_y
_atom_site_fract_z
_atom_site_occupancy
Ca1 0.247 0.195 0.000 1
In1 0.000 0.712 0.999 1
Tc1 0.000 0.327 0.536 1
N1 0.000 0.359 0.880 1
N2 0.000 0.613 0.424 1
N3 0.183 0.181 0.449 1
```


# NaCaIn
Theoretical powder diffractogram, Cu Kα (λ = 1.5418 Å). Input: a cell relaxed with GGA-PBE.
Kinematic intensities with the Lorentz-polarization factor, no thermal factor.

Principal peaks in the range 15 to 90 degrees two-theta, low angle first:
2theta	I/Imax	index
22.6	34	1 1 1
30.2	100	1 1 2
34.1	83	3 1 0
36.1	35	3 1 1
40.0	24	1 1 3
41.5	15	3 1 2
46.2	29	4 0 2
51.0	19	2 0 4
58.7	28	4 2 2
61.1	14	6 0 0

Structure:
```
data_NaCaIn
_chemical_formula_sum 'Na4 Ca4 In4'
_space_group_name_H-M_alt 'C 1 2/m 1'
_space_group_IT_number 12
_space_group_name_Hall '-C 2y'
_cell_length_a 9.093
_cell_length_b 5.256
_cell_length_c 7.792
_cell_angle_alpha 90.00
_cell_angle_beta 90.05
_cell_angle_gamma 90.00
loop_
_atom_site_label
_atom_site_fract_x
_atom_site_fract_y
_atom_site_fract_z
_atom_site_occupancy
Na1 0.167 0.000 0.479 1
Ca1 0.000 0.500 0.228 1
In1 0.167 0.000 0.943 1
```


# NaCaIn14
Theoretical powder diffractogram, Cu Kα (λ = 1.5418 Å). Input: a cell relaxed with GGA-PBE.
Kinematic intensities with the Lorentz-polarization factor, no thermal factor.

Principal peaks in the range 15 to 90 degrees two-theta, low angle first:
2theta	I/Imax	index
32.7	100	2 2 2
36.3	19	0 4 0
38.4	16	0 0 4
39.0	15	4 0 0
53.9	12	0 4 4
54.3	11	4 4 0
63.0	14	2 6 2
65.9	12	2 2 6
66.6	12	6 2 2
68.5	11	4 4 4

Structure:
```
data_NaCaIn14
_chemical_formula_sum 'Na2 Ca2 In28'
_space_group_name_H-M_alt 'C m m m'
_space_group_IT_number 65
_space_group_name_Hall '-C 2 2'
_cell_length_a 9.246
_cell_length_b 9.900
_cell_length_c 9.367
_cell_angle_alpha 90.00
_cell_angle_beta 90.00
_cell_angle_gamma 90.00
loop_
_atom_site_label
_atom_site_fract_x
_atom_site_fract_y
_atom_site_fract_z
_atom_site_occupancy
Na1 0.000 0.000 0.000 1
Ca1 0.000 0.500 0.000 1
In1 0.000 0.000 0.500 1
In2 0.000 0.250 0.253 1
In3 0.000 0.500 0.500 1
In4 0.248 0.000 0.256 1
In5 0.250 0.250 0.000 1
In6 0.250 0.250 0.500 1
```


# NaCa4In3
Theoretical powder diffractogram, Cu Kα (λ = 1.5418 Å). Input: a cell relaxed with GGA-PBE.
Kinematic intensities with the Lorentz-polarization factor, no thermal factor.

Principal peaks in the range 15 to 90 degrees two-theta, low angle first:
2theta	I/Imax	index
18.8	7	1 0 1
19.7	7	0 1 2
22.7	17	1 0 4
32.4	100	1 1 0
39.9	5	0 2 4
46.4	17	2 0 8
52.3	8	2 1 4
57.7	34	3 0 0
67.7	10	2 2 0
77.1	14	3 1 8

Structure:
```
data_NaCa4In3
_chemical_formula_sum 'Na3 Ca12 In9'
_space_group_name_H-M_alt 'R -3 m'
_space_group_IT_number 166
_space_group_name_Hall '-R 3 2"'
_cell_length_a 5.5328
_cell_length_b 5.5328
_cell_length_c 27.1035
_cell_angle_alpha 90.00
_cell_angle_beta 90.00
_cell_angle_gamma 120.00
loop_
_atom_site_label
_atom_site_fract_x
_atom_site_fract_y
_atom_site_fract_z
_atom_site_occupancy
Na1 0.0000 0.0000 0.0000 1
Ca1 0.0000 0.0000 0.1288 1
Ca2 0.0000 0.0000 0.3792 1
In1 0.0000 0.0000 0.2538 1
In2 0.0000 0.0000 0.5000 1
```


# NaCa4In5
Theoretical powder diffractogram, Cu Kα (λ = 1.5418 Å). Input: a cell relaxed with GGA-PBE.
Kinematic intensities with the Lorentz-polarization factor, no thermal factor.

Principal peaks in the range 15 to 90 degrees two-theta, low angle first:
2theta	I/Imax	index
22.9	32	1 0 0
23.7	14	0 0 5
32.7	54	1 1 0
33.2	100	1 0 5
40.8	14	1 1 5
46.8	19	2 0 0
58.6	36	2 1 5
59.7	16	1 1 10
69.8	10	2 0 10
77.9	8	3 1 0

Structure:
```
data_NaCa4In5
_chemical_formula_sum 'Na1 Ca4 In5'
_space_group_name_H-M_alt 'P 4/m m m'
_space_group_IT_number 123
_space_group_name_Hall '-P 4 2'
_cell_length_a 3.879
_cell_length_b 3.879
_cell_length_c 18.757
_cell_angle_alpha 90.00
_cell_angle_beta 90.00
_cell_angle_gamma 90.00
loop_
_atom_site_label
_atom_site_fract_x
_atom_site_fract_y
_atom_site_fract_z
_atom_site_occupancy
Na1 0.000 0.000 0.000 1
Ca1 0.000 0.000 0.196 1
Ca2 0.000 0.000 0.399 1
In1 0.500 0.500 0.092 1
In2 0.500 0.500 0.299 1
In3 0.500 0.500 0.500 1
```